(1)
Starting from a GGA-PBE-relaxed structure, the X-ray powder pattern of Rb12Sn2Sb6O was computed for CuKα.

Crystal structure
```
Rb12Sn2Sb6O
1.0
12.568 0.000 0.000
-6.284 10.884 0.000
0.000 0.000 6.349
Rb Sn Sb O
12 2 6 1
direct
0.092 0.546 0.249
0.111 0.223 0.274
0.111 0.889 0.274
0.223 0.111 0.726
0.454 0.546 0.249
0.454 0.908 0.249
0.546 0.092 0.751
0.546 0.454 0.751
0.777 0.889 0.274
0.889 0.111 0.726
0.889 0.777 0.726
0.908 0.454 0.751
0.333 0.667 0.750
0.667 0.333 0.250
0.207 0.414 0.754
0.207 0.793 0.754
0.414 0.207 0.246
0.586 0.793 0.754
0.793 0.207 0.246
0.793 0.586 0.246
0.000 0.000 0.500
```

Most intense lines, 2θ = 10–90°, by intensity:
2θ 28.34, I 100; 2θ 28.11, I 28; 2θ 52.33, I 23; 2θ 43.19, I 22; 2θ 49.89, I 17; 2θ 16.16, I 16; 2θ 52.46, I 13; 2θ 24.54, I 11; 2θ 70.23, I 8; 2θ 75.09, I 8; 2θ 37.65, I 8; 2θ 40.39, I 6


(2)
Starting from a GGA-PBE-relaxed structure, the X-ray powder pattern of Na3In2Bi3 was computed for CuKα.

Crystal structure
```
Na3In2Bi3
1.0
8.228 0.000 0.000
0.000 4.726 0.000
-0.101 0.000 27.495
Na In Bi
12 8 12
direct
0.000 0.000 0.000
0.000 0.000 0.330
0.000 0.000 0.664
0.454 0.500 0.165
0.455 0.500 0.835
0.457 0.500 0.501
0.501 0.000 0.955
0.508 0.000 0.284
0.508 0.000 0.618
0.942 0.500 0.454
0.943 0.500 0.789
0.948 0.500 0.119
0.102 0.000 0.538
0.110 0.000 0.873
0.114 0.000 0.199
0.340 0.500 0.369
0.345 0.500 0.703
0.624 0.000 0.085
0.637 0.000 0.419
0.638 0.000 0.753
0.204 0.500 0.265
0.209 0.500 0.933
0.214 0.500 0.597
0.240 0.000 0.764
0.242 0.000 0.431
0.253 0.000 0.099
0.697 0.500 0.020
0.713 0.500 0.352
0.714 0.500 0.685
0.742 0.000 0.523
0.746 0.000 0.858
0.749 0.000 0.190
```

Most intense lines, 2θ = 10–90°, by intensity:
2θ 21.15, I 100; 2θ 30.41, I 98; 2θ 22.21, I 92; 2θ 34.97, I 86; 2θ 21.60, I 84; 2θ 39.22, I 58; 2θ 38.08, I 49; 2θ 36.69, I 40; 2θ 23.76, I 40; 2θ 55.07, I 38; 2θ 14.46, I 36; 2θ 44.52, I 33


(3)
Starting from a GGA-PBE-relaxed structure, the X-ray powder pattern of NpN2 was computed for CuKα.

Crystal structure
```
NpN2
1.0
4.907 0.000 0.000
0.000 4.907 0.000
0.000 0.000 3.480
Np N
2 4
direct
0.000 0.000 0.000
0.500 0.500 0.500
0.182 0.182 0.500
0.318 0.682 0.000
0.682 0.318 0.000
0.818 0.818 0.500
```

Most intense lines, 2θ = 10–90°, by intensity:
2θ 31.52, I 100; 2θ 25.67, I 97; 2θ 49.08, I 70; 2θ 36.62, I 33; 2θ 59.43, I 20; 2θ 62.77, I 19; 2θ 74.92, I 18; 2θ 59.57, I 18; 2θ 52.76, I 15; 2θ 83.47, I 14; 2θ 86.40, I 14; 2θ 65.80, I 13


(4)
Starting from a GGA-PBE-relaxed structure, the X-ray powder pattern of TmFe4Si2 was computed for CuKα.

Crystal structure
```
TmFe4Si2
1.0
7.040 0.000 0.000
0.000 7.040 0.000
0.000 0.000 3.762
Tm Fe Si
2 8 4
direct
0.000 0.000 0.000
0.500 0.500 0.500
0.086 0.353 0.500
0.147 0.586 0.000
0.353 0.086 0.500
0.414 0.853 0.000
0.586 0.147 0.000
0.647 0.914 0.500
0.853 0.414 0.000
0.914 0.647 0.500
0.219 0.781 0.500
0.281 0.281 0.000
0.719 0.719 0.000
0.781 0.219 0.500
```

Most intense lines, 2θ = 10–90°, by intensity:
2θ 37.24, I 100; 2θ 40.52, I 47; 2θ 26.87, I 32; 2θ 43.60, I 24; 2θ 64.90, I 22; 2θ 47.45, I 22; 2θ 25.30, I 22; 2θ 48.40, I 21; 2θ 71.55, I 21; 2θ 59.45, I 19; 2θ 36.09, I 17; 2θ 87.68, I 14


(5)
Starting from a GGA-PBE-relaxed structure, the X-ray powder pattern of Zn13Fe was computed for CuKα.

Crystal structure
```
Zn13Fe
1.0
5.367 -3.793 0.000
5.367 3.793 0.000
-1.122 0.000 5.142
Zn Fe
13 1
direct
0.000 0.000 0.000
0.009 0.651 0.685
0.208 0.620 0.194
0.227 0.227 0.860
0.349 0.991 0.315
0.380 0.792 0.806
0.392 0.392 0.579
0.608 0.608 0.421
0.620 0.208 0.194
0.651 0.009 0.685
0.773 0.773 0.140
0.792 0.380 0.806
0.991 0.349 0.315
0.000 0.000 0.500
```

Most intense lines, 2θ = 10–90°, by intensity:
2θ 42.50, I 100; 2θ 41.50, I 84; 2θ 40.65, I 52; 2θ 41.88, I 43; 2θ 42.33, I 35; 2θ 44.83, I 33; 2θ 44.20, I 22; 2θ 35.87, I 19; 2θ 74.33, I 17; 2θ 77.67, I 14; 2θ 74.75, I 14; 2θ 45.57, I 14


(6)
Starting from a GGA-PBE-relaxed structure, the X-ray powder pattern of Bi was computed for CuKα.

Crystal structure
```
Bi
1.0
5.540 -3.404 0.000
5.540 3.404 0.000
0.000 0.000 6.904
Bi
8
direct
0.167 0.833 0.833
0.204 0.204 0.500
0.296 0.296 0.000
0.333 0.667 0.333
0.667 0.333 0.667
0.704 0.704 0.000
0.796 0.796 0.500
0.833 0.167 0.167
```

Most intense lines, 2θ = 10–90°, by intensity:
2θ 30.47, I 100; 2θ 30.83, I 45; 2θ 30.13, I 30; 2θ 37.09, I 25; 2θ 33.51, I 23; 2θ 32.32, I 22; 2θ 62.77, I 22; 2θ 59.48, I 18; 2θ 59.85, I 18; 2θ 38.05, I 16; 2θ 29.25, I 16; 2θ 42.25, I 13


(7)
Starting from a GGA-PBE-relaxed structure, the X-ray powder pattern of Sr3Mn2N4 was computed for CuKα.

Crystal structure
```
Sr3Mn2N4
1.0
5.913 0.000 0.000
0.000 9.873 0.000
0.000 0.000 9.601
Sr Mn N
12 8 16
direct
0.115 0.158 0.084
0.115 0.342 0.416
0.250 0.000 0.403
0.250 0.500 0.097
0.385 0.658 0.416
0.385 0.842 0.084
0.615 0.158 0.916
0.615 0.342 0.584
0.750 0.000 0.597
0.750 0.500 0.903
0.885 0.658 0.584
0.885 0.842 0.916
0.152 0.250 0.750
0.250 0.000 0.736
0.250 0.500 0.764
0.348 0.750 0.750
0.652 0.250 0.250
0.750 0.000 0.264
0.750 0.500 0.236
0.848 0.750 0.250
0.017 0.085 0.833
0.017 0.415 0.667
0.133 0.640 0.869
0.133 0.860 0.631
0.367 0.140 0.631
0.367 0.360 0.869
0.483 0.585 0.667
0.483 0.915 0.833
0.517 0.085 0.167
0.517 0.415 0.333
0.633 0.640 0.131
0.633 0.860 0.369
0.867 0.140 0.369
0.867 0.360 0.131
0.983 0.585 0.333
0.983 0.915 0.167
```

Most intense lines, 2θ = 10–90°, by intensity:
2θ 31.79, I 100; 2θ 28.68, I 69; 2θ 36.42, I 60; 2θ 33.10, I 49; 2θ 36.64, I 41; 2θ 31.59, I 40; 2θ 32.97, I 22; 2θ 49.46, I 20; 2θ 58.04, I 20; 2θ 49.05, I 18; 2θ 44.69, I 14; 2θ 50.93, I 13


(8)
Starting from a GGA-PBE-relaxed structure, the X-ray powder pattern of KRbMg6 was computed for CuKα.

Crystal structure
```
KRbMg6
1.0
5.458 0.000 0.000
0.000 3.734 6.187
0.000 -3.734 6.187
K Rb Mg
1 1 6
direct
0.000 0.000 0.000
0.500 0.838 0.838
0.000 0.028 0.458
0.000 0.458 0.028
0.000 0.501 0.501
0.500 0.332 0.332
0.500 0.372 0.810
0.500 0.810 0.372
```

Most intense lines, 2θ = 10–90°, by intensity:
2θ 32.46, I 100; 2θ 33.29, I 58; 2θ 32.81, I 36; 2θ 27.91, I 33; 2θ 13.85, I 26; 2θ 21.40, I 25; 2θ 61.59, I 20; 2θ 43.61, I 19; 2θ 50.56, I 18; 2θ 58.36, I 17; 2θ 60.34, I 15; 2θ 21.71, I 14


(9)
Starting from a GGA-PBE-relaxed structure, the X-ray powder pattern of Ba2UTiO6 was computed for CuKα.

Crystal structure
```
Ba2UTiO6
1.0
0.000 4.230 4.230
4.230 0.000 4.230
4.230 4.230 0.000
Ba U Ti O
2 1 1 6
direct
0.250 0.250 0.250
0.750 0.750 0.750
0.000 0.000 0.000
0.500 0.500 0.500
0.259 0.259 0.741
0.259 0.741 0.259
0.259 0.741 0.741
0.741 0.259 0.259
0.741 0.259 0.741
0.741 0.741 0.259
```

Most intense lines, 2θ = 10–90°, by intensity:
2θ 29.87, I 100; 2θ 53.03, I 41; 2θ 42.75, I 29; 2θ 18.16, I 24; 2θ 85.99, I 22; 2θ 62.06, I 19; 2θ 70.39, I 18; 2θ 35.18, I 17; 2θ 46.81, I 8; 2θ 78.30, I 6; 2θ 65.25, I 6; 2θ 56.53, I 6


(10)
Starting from a GGA-PBE-relaxed structure, the X-ray powder pattern of MoWS4 was computed for CuKα.

Crystal structure
```
MoWS4
1.0
3.192 0.000 0.000
-1.596 2.764 0.000
0.000 0.000 35.847
Mo W S
2 2 8
direct
0.000 0.000 0.000
0.333 0.667 0.188
0.000 0.000 0.376
0.333 0.667 0.564
0.000 0.000 0.144
0.000 0.000 0.232
0.000 0.000 0.520
0.000 0.000 0.608
0.333 0.667 0.044
0.333 0.667 0.332
0.333 0.667 0.420
0.333 0.667 0.956
```

Most intense lines, 2θ = 10–90°, by intensity:
2θ 12.35, I 100; 2θ 38.26, I 46; 2θ 46.52, I 27; 2θ 14.83, I 27; 2θ 32.41, I 22; 2θ 33.27, I 17; 2θ 59.32, I 15; 2θ 57.78, I 15; 2θ 34.78, I 13; 2θ 48.46, I 11; 2θ 32.78, I 10; 2θ 35.79, I 8


(11)
Starting from a GGA-PBE-relaxed structure, the X-ray powder pattern of Pr3Co8Sn4 was computed for CuKα.

Crystal structure
```
Pr3Co8Sn4
1.0
9.038 0.000 0.000
-4.519 7.828 0.000
0.000 0.000 7.656
Pr Co Sn
6 16 8
direct
0.050 0.525 0.000
0.475 0.525 0.000
0.475 0.950 0.000
0.525 0.050 0.500
0.525 0.475 0.500
0.950 0.475 0.500
0.000 0.000 0.221
0.000 0.000 0.721
0.094 0.188 0.974
0.094 0.906 0.974
0.154 0.309 0.665
0.154 0.846 0.665
0.188 0.094 0.474
0.309 0.154 0.165
0.333 0.667 0.331
0.667 0.333 0.831
0.691 0.846 0.665
0.812 0.906 0.974
0.846 0.154 0.165
0.846 0.691 0.165
0.906 0.094 0.474
0.906 0.812 0.474
0.170 0.339 0.291
0.170 0.830 0.291
0.333 0.667 0.680
0.339 0.170 0.791
0.661 0.830 0.291
0.667 0.333 0.180
0.830 0.170 0.791
0.830 0.661 0.791
```

Most intense lines, 2θ = 10–90°, by intensity:
2θ 32.72, I 100; 2θ 39.90, I 91; 2θ 36.38, I 32; 2θ 32.44, I 31; 2θ 37.05, I 30; 2θ 63.33, I 30; 2θ 42.28, I 23; 2θ 38.46, I 23; 2θ 25.56, I 22; 2θ 49.99, I 15; 2θ 60.35, I 14; 2θ 67.93, I 14